This entry pairs a crystal structure of Ca3LaGa2 with its calculated XRD peak list. Radiation: Cu Ka. Structure: a PBE-relaxed structure.

Cell and atoms:
```
Ca3LaGa2
1.0
5.0710 0.0000 0.0000
0.0000 9.5928 0.0000
0.0000 0.0000 7.3535
Ca La Ga
6 2 4
Cartesian
0.0000 0.6714 0.0000
0.0000 2.9813 2.6980
0.0000 6.6115 6.3748
0.0000 8.9214 3.6767
2.5355 1.6616 5.0422
2.5355 7.9312 1.3655
2.5355 4.2243 0.3827
2.5355 5.3684 4.0594
0.0000 3.5334 5.8290
0.0000 6.0594 2.1522
2.5355 1.3884 1.8749
2.5355 8.2044 5.5517
```

The 10 most intense peaks (10° ≤ 2θ ≤ 90°), sorted by position:
28.3°, d = 3.149 Å, I = 38
30.0°, d = 2.977 Å, I = 30
30.5°, d = 2.932 Å, I = 26
30.6°, d = 2.918 Å, I = 22
31.5°, d = 2.843 Å, I = 100
33.1°, d = 2.705 Å, I = 47
35.4°, d = 2.536 Å, I = 64
41.4°, d = 2.182 Å, I = 20
47.4°, d = 1.918 Å, I = 15
56.7°, d = 1.624 Å, I = 18


This entry pairs a crystal structure of CaLa2Ga with its calculated XRD peak list. Radiation: Cu Ka. Structure: a PBE-relaxed structure.

Cell and atoms:
```
CaLa2Ga
1.0
3.9130 0.0000 0.0000
0.0000 10.0456 0.0000
-1.9551 0.0000 6.7296
Ca La Ga
2 4 2
Cartesian
-0.0015 2.5114 0.7883
1.9594 7.5342 5.9413
-0.0016 0.5365 4.7852
-0.0016 4.4863 4.7852
1.9595 5.5593 1.9444
1.9595 9.5091 1.9444
0.0048 7.5342 3.5340
1.9531 2.5114 3.1956
```

The 10 most intense peaks (10° ≤ 2θ ≤ 90°), sorted by position:
13.2°, d = 6.730 Å, I = 49
23.7°, d = 3.757 Å, I = 41
29.7°, d = 3.009 Å, I = 71
29.8°, d = 2.998 Å, I = 89
30.3°, d = 2.949 Å, I = 100
31.6°, d = 2.830 Å, I = 47
32.0°, d = 2.796 Å, I = 73
35.3°, d = 2.543 Å, I = 41
35.9°, d = 2.500 Å, I = 89
56.1°, d = 1.638 Å, I = 29


This entry pairs a crystal structure of Li2CaLa2Ga2 with its calculated XRD peak list. Radiation: Cu Ka. Structure: a PBE-relaxed structure.

Cell and atoms:
```
Li2CaLa2Ga2
1.0
2.3623 1.3639 8.9993
-2.3623 1.3639 8.9993
0.0000 -2.7278 8.9993
Li Ca La Ga
2 1 2 2
Cartesian
0.0000 0.0000 2.8851
0.0000 0.0000 24.1127
0.0000 0.0000 13.4989
0.0000 0.0000 9.9257
0.0000 0.0000 17.0721
0.0000 0.0000 6.4667
0.0000 0.0000 20.5310
```

The 10 most intense peaks (10° ≤ 2θ ≤ 90°), sorted by position:
22.0°, d = 4.045 Å, I = 75
22.7°, d = 3.916 Å, I = 25
31.9°, d = 2.807 Å, I = 83
34.4°, d = 2.603 Å, I = 100
38.1°, d = 2.362 Å, I = 91
50.5°, d = 1.807 Å, I = 22
52.3°, d = 1.749 Å, I = 30
65.0°, d = 1.435 Å, I = 20
65.2°, d = 1.432 Å, I = 32
66.5°, d = 1.406 Å, I = 28


This entry pairs a crystal structure of CaLa2GaN with its calculated XRD peak list. Radiation: Cu Ka. Structure: a PBE-relaxed structure.

Cell and atoms:
```
CaLa2GaN
1.0
5.0781 0.0000 0.0000
0.0000 5.0781 0.0000
0.0000 0.0000 4.8680
Ca La Ga N
1 2 1 1
Cartesian
0.0000 0.0000 0.0000
0.0000 2.5391 2.4340
2.5391 0.0000 2.4340
2.5391 2.5391 0.0000
0.0000 0.0000 2.4340
```

The 10 most intense peaks (10° ≤ 2θ ≤ 90°), sorted by position:
18.2°, d = 4.868 Å, I = 19
24.8°, d = 3.591 Å, I = 12
30.9°, d = 2.890 Å, I = 100
35.4°, d = 2.539 Å, I = 40
36.9°, d = 2.434 Å, I = 18
50.9°, d = 1.795 Å, I = 14
52.0°, d = 1.757 Å, I = 26
60.7°, d = 1.525 Å, I = 29
62.8°, d = 1.479 Å, I = 13
64.5°, d = 1.445 Å, I = 13


This entry pairs a crystal structure of CaLa2Zn2Ga2 with its calculated XRD peak list. Radiation: Cu Ka. Structure: a PBE-relaxed structure.

Cell and atoms:
```
CaLa2Zn2Ga2
1.0
2.2700 1.3106 9.7047
-2.2700 1.3106 9.7047
0.0000 -2.6212 9.7047
Ca La Zn Ga
1 2 2 2
Cartesian
0.0000 0.0000 0.0000
0.0000 0.0000 3.7267
0.0000 0.0000 25.3875
0.0000 0.0000 11.6275
0.0000 0.0000 17.4866
0.0000 0.0000 7.6346
0.0000 0.0000 21.4796
```

The 10 most intense peaks (10° ≤ 2θ ≤ 90°), sorted by position:
18.3°, d = 4.852 Å, I = 19
25.8°, d = 3.459 Å, I = 36
31.3°, d = 2.857 Å, I = 73
33.6°, d = 2.671 Å, I = 100
39.7°, d = 2.270 Å, I = 99
46.8°, d = 1.941 Å, I = 17
51.4°, d = 1.777 Å, I = 18
52.9°, d = 1.730 Å, I = 27
63.0°, d = 1.475 Å, I = 42
68.2°, d = 1.376 Å, I = 24


This entry pairs a crystal structure of Li5Ca2Ga with its calculated XRD peak list. Radiation: Cu Ka. Structure: a PBE-relaxed structure.

Cell and atoms:
```
Li5Ca2Ga
1.0
6.3530 0.0000 0.0000
0.0000 6.3530 0.0000
0.0000 0.0000 5.0410
Li Ca Ga
5 2 1
Cartesian
0.0000 0.0000 0.0000
1.7824 1.7824 2.5205
1.7824 4.5707 2.5205
4.5707 1.7824 2.5205
4.5707 4.5707 2.5205
0.0000 3.1765 0.0000
3.1765 0.0000 0.0000
0.0000 0.0000 2.5205
```

The 10 most intense peaks (10° ≤ 2θ ≤ 90°), sorted by position:
13.9°, d = 6.353 Å, I = 53
22.5°, d = 3.949 Å, I = 26
26.6°, d = 3.354 Å, I = 100
28.1°, d = 3.177 Å, I = 38
31.5°, d = 2.841 Å, I = 18
36.3°, d = 2.475 Å, I = 19
40.1°, d = 2.246 Å, I = 22
46.0°, d = 1.974 Å, I = 18
48.8°, d = 1.866 Å, I = 33
54.7°, d = 1.677 Å, I = 17


This entry pairs a crystal structure of Li7Ca3Ga2 with its calculated XRD peak list. Radiation: Cu Ka. Structure: a PBE-relaxed structure.

Cell and atoms:
```
Li7Ca3Ga2
1.0
2.9154 1.6832 9.6502
-2.9154 1.6832 9.6502
0.0000 -3.3664 9.6502
Li Ca Ga
7 3 2
Cartesian
0.0000 0.0000 0.0000
0.0000 -1.6792 6.9885
-1.4542 0.8396 6.9885
-1.4542 -0.8396 21.9621
1.4542 0.8396 6.9885
1.4543 -0.8396 21.9621
0.0000 1.6792 21.9621
0.0000 0.0000 10.4138
0.0000 0.0000 14.4753
0.0000 0.0000 18.5368
0.0000 0.0000 4.8289
0.0000 0.0000 24.1216
```

The 10 most intense peaks (10° ≤ 2θ ≤ 90°), sorted by position:
18.4°, d = 4.825 Å, I = 66
21.5°, d = 4.141 Å, I = 31
30.7°, d = 2.915 Å, I = 90
32.1°, d = 2.791 Å, I = 26
36.0°, d = 2.495 Å, I = 100
41.8°, d = 2.160 Å, I = 35
54.5°, d = 1.683 Å, I = 16
57.2°, d = 1.609 Å, I = 23
58.0°, d = 1.589 Å, I = 23
76.4°, d = 1.247 Å, I = 17


This entry pairs a crystal structure of Li4Ca3Ga2 with its calculated XRD peak list. Radiation: Cu Ka. Structure: a PBE-relaxed structure.

Cell and atoms:
```
Li4Ca3Ga2
1.0
5.3059 -2.3874 0.0000
5.3059 2.3874 0.0000
-2.6383 0.0000 8.5359
Li Ca Ga
4 3 2
Cartesian
0.5967 0.0000 1.3835
1.8442 0.0000 3.7987
6.1294 0.0000 4.7371
7.3769 0.0000 7.1524
-1.3192 0.0000 4.2679
3.7227 0.0000 1.0775
4.2509 0.0000 7.4584
1.0528 0.0000 6.3916
6.9208 0.0000 2.1443
```

The 10 most intense peaks (10° ≤ 2θ ≤ 90°), sorted by position:
21.9°, d = 4.066 Å, I = 100
27.5°, d = 3.247 Å, I = 32
31.1°, d = 2.872 Å, I = 60
31.6°, d = 2.832 Å, I = 31
32.5°, d = 2.758 Å, I = 43
35.5°, d = 2.527 Å, I = 33
36.6°, d = 2.457 Å, I = 29
37.7°, d = 2.387 Å, I = 34
40.1°, d = 2.250 Å, I = 32
49.7°, d = 1.836 Å, I = 30


This entry pairs a crystal structure of Li2Ca3Ga8 with its calculated XRD peak list. Radiation: Cu Ka. Structure: a PBE-relaxed structure.

Cell and atoms:
```
Li2Ca3Ga8
1.0
5.8314 0.0000 0.0000
2.9089 6.5535 0.0000
2.9157 1.2777 7.5338
Li Ca Ga
2 3 8
Cartesian
1.4540 0.2151 1.2547
10.2020 7.6162 6.2791
1.4545 3.2768 0.0000
7.2861 6.2059 5.2086
4.3699 1.6253 2.3252
3.0709 3.0864 4.9213
4.3706 5.6427 4.4704
4.3700 4.3404 0.6514
5.6698 3.0852 4.9220
5.9862 4.7460 2.6118
7.2860 3.4908 6.8824
7.2854 2.1885 3.0634
8.5851 4.7448 2.6125
```

The 10 most intense peaks (10° ≤ 2θ ≤ 90°), sorted by position:
11.7°, d = 7.534 Å, I = 45
13.7°, d = 6.461 Å, I = 100
27.6°, d = 3.231 Å, I = 27
31.9°, d = 2.804 Å, I = 66
33.1°, d = 2.702 Å, I = 35
35.0°, d = 2.562 Å, I = 76
35.8°, d = 2.511 Å, I = 25
39.6°, d = 2.277 Å, I = 22
40.2°, d = 2.246 Å, I = 25
43.0°, d = 2.104 Å, I = 79


This entry pairs a crystal structure of Li2CaGa6 with its calculated XRD peak list. Radiation: Cu Ka. Structure: a PBE-relaxed structure.

Cell and atoms:
```
Li2CaGa6
1.0
-1.8406 3.7201 6.2952
1.8406 -3.7201 6.2952
1.8406 3.7201 -6.2952
Li Ca Ga
2 1 6
Cartesian
0.0000 0.0000 1.6335
0.0000 0.0000 10.9569
0.0000 3.7201 0.0000
1.8406 2.3713 -2.3331
1.8406 1.2431 0.0000
0.0000 1.3488 3.9621
1.8406 2.3713 2.3331
0.0000 2.4769 6.2952
0.0000 1.3488 8.6282
```

The 10 most intense peaks (10° ≤ 2θ ≤ 90°), sorted by position:
23.9°, d = 3.720 Å, I = 48
24.4°, d = 3.655 Å, I = 39
25.2°, d = 3.533 Å, I = 85
30.6°, d = 2.922 Å, I = 93
35.0°, d = 2.562 Å, I = 63
42.3°, d = 2.135 Å, I = 100
43.5°, d = 2.078 Å, I = 61
46.4°, d = 1.955 Å, I = 64
50.3°, d = 1.814 Å, I = 44
67.1°, d = 1.394 Å, I = 48


This entry pairs a crystal structure of Li12CaGa6 with its calculated XRD peak list. Radiation: Cu Ka. Structure: a PBE-relaxed structure.

Cell and atoms:
```
Li12CaGa6
1.0
5.7227 3.3040 3.0944
-5.7227 3.3040 3.0944
0.0000 -6.6080 3.0944
Li Ca Ga
12 1 6
Cartesian
-2.2245 -2.7551 3.0944
-3.4982 -0.5489 3.0944
0.0000 -1.9168 1.9739
-1.6600 0.9584 1.9739
2.2245 -2.7551 3.0944
-1.2737 3.3040 3.0944
1.6600 0.9584 1.9739
-1.6600 -0.9584 7.3092
3.4982 -0.5489 3.0944
1.2737 3.3040 3.0944
1.6600 -0.9584 7.3092
0.0000 1.9168 7.3092
0.0000 0.0000 4.6416
-3.6041 -2.0808 5.5266
0.0000 -4.1616 3.7566
-3.6041 2.0808 3.7566
3.6041 -2.0808 5.5266
0.0000 4.1616 5.5266
3.6041 2.0808 3.7566
```

The 10 most intense peaks (10° ≤ 2θ ≤ 90°), sorted by position:
13.1°, d = 6.776 Å, I = 53
21.1°, d = 4.204 Å, I = 46
25.6°, d = 3.474 Å, I = 100
26.3°, d = 3.388 Å, I = 43
39.9°, d = 2.259 Å, I = 64
40.9°, d = 2.209 Å, I = 37
43.0°, d = 2.102 Å, I = 26
44.4°, d = 2.042 Å, I = 24
46.9°, d = 1.939 Å, I = 17
47.7°, d = 1.908 Å, I = 26


This entry pairs a crystal structure of Li17Ca2Ga3 with its calculated XRD peak list. Radiation: Cu Ka. Structure: a PBE-relaxed structure.

Cell and atoms:
```
Li17Ca2Ga3
1.0
5.2655 3.0401 4.9600
-5.2655 3.0401 4.9600
0.0000 -6.0801 4.9600
Li Ca Ga
17 2 3
Cartesian
-5.2655 0.0000 7.4400
-1.3777 -3.6939 4.9600
-2.6328 1.5200 2.4800
-3.8878 0.6538 4.9600
0.0000 0.0000 1.4354
-2.4744 -1.4286 7.5612
1.3777 -3.6939 4.9600
-2.5101 3.0401 4.9600
0.0000 -2.8572 7.3187
-2.4744 1.4286 7.3187
2.6328 1.5200 2.4800
2.4744 -1.4286 7.5612
0.0000 2.8572 7.5612
3.8878 0.6538 4.9600
2.5101 3.0401 4.9600
2.4744 1.4286 7.3187
0.0000 0.0000 13.4445
0.0000 0.0000 4.8916
0.0000 0.0000 9.9883
-2.6328 -1.5200 4.9600
-2.6328 1.5200 9.9199
0.0000 3.0401 4.9600
```

The 10 most intense peaks (10° ≤ 2θ ≤ 90°), sorted by position:
11.4°, d = 7.776 Å, I = 94
15.4°, d = 5.765 Å, I = 56
17.9°, d = 4.960 Å, I = 100
20.4°, d = 4.360 Å, I = 81
22.9°, d = 3.888 Å, I = 53
28.5°, d = 3.128 Å, I = 38
34.1°, d = 2.633 Å, I = 88
38.7°, d = 2.325 Å, I = 61
40.0°, d = 2.253 Å, I = 40
50.6°, d = 1.805 Å, I = 48